For CaFe2F10, DFT lattice parameters and positions (PBE+U) gives the simulated powder X-ray diffraction pattern in this record (copper Kα).
Kinematic intensities with the Lorentz-polarization factor, no thermal factor.

Structure:
```
26
Lattice="5.5198 0.0000 0.0000 0.0000 9.9967 0.0000 -2.6906 0.0000 7.2811" Properties=species:S:1:pos:R:3 pbc="T T T"
Ca 0.0000 2.3332 0.0000
Ca -1.3453 7.6635 3.6405
Fe -0.0204 4.9864 6.2062
Fe 1.3249 5.0103 2.5657
Fe 1.7881 0.0613 4.7646
Fe 3.1334 9.9354 1.1241
F -1.3991 3.7974 6.0046
F -0.0538 6.1993 2.3640
F 0.3038 3.6610 1.8213
F -1.0415 6.3357 5.4618
F 1.7403 1.1065 0.8685
F 0.3950 8.8902 4.5090
F 0.6114 4.5808 4.3553
F 1.9567 5.4159 0.7148
F 0.8097 1.3608 4.1028
F 2.1551 8.6359 0.4623
F 0.9998 3.5778 6.8536
F 2.3452 6.4189 3.2131
F 2.6744 3.9110 2.8086
F 1.3290 6.0858 6.4492
F 1.2658 0.5154 6.6627
F 2.6111 9.4813 3.0222
F 4.1775 1.2937 1.7391
F 2.8321 8.7030 5.3797
F 3.1300 1.2552 5.1421
F 4.4753 8.7415 1.5016
```

Principal peaks in the range 2θ = 10–90°, sorted by position:
two_theta	intensity
15.1	20.6
17.1	19.1
17.7	36.5
19.3	73.6
24.8	64.4
26.1	100.0
44.3	37.3
46.8	20.2